No. 1
Diffraction record for Cs3Mo6P10O38. The powder XRD pattern is calculated, not measured: it uses a GGA+U-relaxed structure and Cu Kα (λ = 1.5418 Å).
No peak broadening, texture or thermal motion is included.

```
data_Cs3Mo6P10O38
_chemical_formula_sum 'Cs3 Mo6 P10 O38'
_cell_length_a 6.5618
_cell_length_b 9.6940
_cell_length_c 14.5501
_cell_angle_alpha 89.87
_cell_angle_beta 88.82
_cell_angle_gamma 74.01
_symmetry_space_group_name_H-M 'P -1'
_symmetry_Int_Tables_number 2
_symmetry_space_group_name_Hall '-P 1'
loop_
_atom_site_label
_atom_site_fract_x
_atom_site_fract_y
_atom_site_fract_z
Cs1 0.0000 0.0000 0.0000
Cs2 0.0416 0.6266 0.7165
Mo1 0.2656 0.6659 0.3885
Mo2 0.2839 0.6319 0.1351
Mo3 0.3802 0.9601 0.7500
P1 0.1565 0.9534 0.2518
P2 0.2605 0.2818 0.8872
P3 0.2855 0.2366 0.5889
P4 0.4891 0.2811 0.0606
P5 0.4918 0.2955 0.4244
O1 0.0248 0.3642 0.8970
O2 0.0549 0.3257 0.5876
O3 0.0704 0.9453 0.7575
O4 0.1747 0.8728 0.3447
O5 0.2112 0.8519 0.1676
O6 0.2586 0.6042 0.2636
O7 0.2937 0.1488 0.8295
O8 0.2982 0.7160 0.5254
O9 0.3001 0.0557 0.2502
O10 0.3248 0.0888 0.6317
O11 0.3317 0.6865 0.9979
O12 0.3377 0.2257 0.9896
O13 0.3449 0.4487 0.4248
O14 0.3472 0.4105 0.1107
O15 0.3628 0.2015 0.4813
O16 0.3884 0.3858 0.8561
O17 0.4153 0.3330 0.6275
O18 0.4217 0.8458 0.8774
O19 0.4647 0.7653 0.6722
```

Principal peaks in the range 15 to 90 degrees two-theta, sorted by position:
d [Å]  Position (°2θ)  I_rel  h k l
4.455  19.9  54  1 -1 1
4.299  20.7  63  0 1 3
4.195  21.2  47  1 2 1
3.918  22.7  43  0 2 2
3.894  22.8  38  -1 1 2
3.811  23.3  51  1 0 -3
3.391  26.3  68  0 1 -4
3.207  27.8  55  2 1 1
3.180  28.1  100  2 1 -1
3.106  28.7  64  0 3 0
2.862  31.3  38  0 2 4
2.779  32.2  46  0 1 -5

=====

No. 2
Diffraction record for CsMoPO6. The powder XRD pattern is calculated, not measured: it uses a GGA+U-relaxed structure and Cu Kα (λ = 1.5418 Å).
No peak broadening, texture or thermal motion is included.

```
data_CsMoPO6
_chemical_formula_sum 'Cs16 Mo16 P16 O96'
_cell_length_a 11.1982
_cell_length_b 12.9852
_cell_length_c 16.3534
_cell_angle_alpha 90.00
_cell_angle_beta 90.00
_cell_angle_gamma 90.00
_symmetry_space_group_name_H-M 'F d d d'
_symmetry_Int_Tables_number 70
loop_
_symmetry_equiv_pos_as_xyz
'x,y,z'
'-x,-y,-z'
'-x+1/4,-y+1/4,z'
'x+1/4,y+1/4,-z'
'x,-y+1/4,-z+1/4'
'-x,y+1/4,z+1/4'
'-x+1/4,y,-z+1/4'
'x+1/4,-y,z+1/4'
'x,y+1/2,z+1/2'
'-x,-y+1/2,-z+1/2'
'-x+1/4,-y+3/4,z+1/2'
'x+1/4,y+3/4,-z+1/2'
'x,-y+3/4,-z+3/4'
'-x,y+3/4,z+3/4'
'-x+1/4,y+1/2,-z+3/4'
'x+1/4,-y+1/2,z+3/4'
'x+1/2,y,z+1/2'
'-x+1/2,-y,-z+1/2'
'-x+3/4,-y+1/4,z+1/2'
'x+3/4,y+1/4,-z+1/2'
'x+1/2,-y+1/4,-z+3/4'
'-x+1/2,y+1/4,z+3/4'
'-x+3/4,y,-z+3/4'
'x+3/4,-y,z+3/4'
'x+1/2,y+1/2,z'
'-x+1/2,-y+1/2,-z'
'-x+3/4,-y+3/4,z'
'x+3/4,y+3/4,-z'
'x+1/2,-y+3/4,-z+1/4'
'-x+1/2,y+3/4,z+1/4'
'-x+3/4,y+1/2,-z+1/4'
'x+3/4,-y+1/2,z+1/4'
loop_
_atom_site_label
_atom_site_fract_x
_atom_site_fract_y
_atom_site_fract_z
Cs1 0.0678 0.3750 0.3750
Mo1 0.1250 0.3414 0.6250
P1 0.1250 0.1250 0.4948
O1 0.0302 0.0736 0.4370
O2 0.0623 0.3232 0.1944
O3 0.0667 0.0395 0.7040
```

Principal peaks in the range 15 to 90 degrees two-theta, sorted by position:
d [Å]  Position (°2θ)  I_rel  h k l
4.240  21.0  60  2 2 0
4.088  21.7  37  0 0 4
3.504  25.4  49  3 1 1
3.245  27.5  64  0 4 0
2.943  30.4  100  2 2 4
2.542  35.3  29  0 4 4
2.417  37.2  12  3 1 5
2.114  42.8  12  3 5 1
1.869  48.7  15  5 3 3
1.841  49.5  13  2 2 8
1.819  50.1  12  6 0 2
1.575  58.6  11  3 5 7

=====

No. 3
Diffraction record for Cs2Mo3P5O19. The powder XRD pattern is calculated, not measured: it uses a GGA+U-relaxed structure and Cu Kα (λ = 1.5418 Å).
No peak broadening, texture or thermal motion is included.

```
data_Cs2Mo3P5O19
_chemical_formula_sum 'Cs4 Mo6 P10 O38'
_cell_length_a 6.5965
_cell_length_b 14.7846
_cell_length_c 9.9712
_cell_angle_alpha 90.00
_cell_angle_beta 105.81
_cell_angle_gamma 90.00
_symmetry_space_group_name_H-M 'P 1 21/m 1'
_symmetry_Int_Tables_number 11
_symmetry_space_group_name_Hall '-P 2yb'
loop_
_atom_site_label
_atom_site_fract_x
_atom_site_fract_y
_atom_site_fract_z
Cs1 0.0000 0.0000 0.0000
Cs2 0.0446 0.2500 0.3627
Mo1 0.2821 0.6260 0.3554
Mo2 0.3788 0.2500 0.0341
P1 0.1627 0.7500 0.0544
P2 0.2679 0.1023 0.7369
P3 0.4904 0.5660 0.7104
O1 0.0347 0.0969 0.6554
O2 0.0631 0.2500 0.0426
O3 0.2036 0.6627 0.1456
O4 0.2642 0.7500 0.3937
O5 0.3000 0.7500 0.9526
O6 0.3045 0.1481 0.8767
O7 0.3181 0.0079 0.2985
O8 0.3436 0.5022 0.7784
O9 0.3530 0.5942 0.5676
O10 0.3955 0.1373 0.6393
O11 0.4393 0.1441 0.1910
```

Principal peaks in the range 15 to 90 degrees two-theta, sorted by position:
d [Å]  Position (°2θ)  I_rel  h k l
4.714  18.8  31  1 2 -1
4.384  20.3  47  0 3 1
3.986  22.3  85  1 2 1
3.837  23.2  31  1 3 -1
3.816  23.3  34  1 2 -2
3.446  25.9  69  0 4 1
3.305  27.0  29  1 3 -2
3.214  27.8  100  2 1 -1
3.197  27.9  93  0 0 3
2.928  30.5  33  0 4 2
2.826  31.7  47  0 5 1
1.848  49.3  30  0 8 0